Tb2ThGa6: simulated X-ray powder pattern (CuKα), based on a PBE-relaxed structure.

Most intense lines, 2θ from 15° to 90°, low angle first:
Position (°2θ)  Rel. int.  (hkl)
24.23  18  1 1 0
32.48  100  1 1 1
42.63  40  3 0 0
43.39  13  0 0 2
54.59  23  2 2 1
62.45  25  3 0 2
71.63  20  4 1 1
72.73  10  1 1 3

Cell lengths 7.3477, 7.3477, 4.1707 Å; angles 90.00, 90.00, 120.00 degrees
Space group P6/mmm (No. 191)
One atom of each set of equivalent atoms:
1 Tb 0.3333 0.6667 0.0000 x2
2 Th 0.0000 0.0000 0.0000 x1
3 Ga 0.0000 0.3346 0.5000 x6

---

In5Pt2Pb4: simulated X-ray powder pattern (CuKα), based on a PBE-relaxed structure.

Most intense lines, 2θ from 15° to 90°, low angle first:
Position (°2θ)  Rel. int.  (hkl)
24.89  26  0 0 1
30.50  58  1 3 1
32.75  83  1 4 1
33.24  70  1 7 0
34.21  63  3 1 0
36.39  100  2 3 1
38.34  24  2 4 1
51.05  32  0 0 2

Cell lengths 7.931, 20.064, 3.578 Å; angles 90.00, 90.00, 90.00 degrees
Space group Pbam (No. 55)
One atom of each set of equivalent atoms:
1 In 0.000 0.000 0.000 x2
2 In 0.156 0.392 0.000 x4
3 In 0.158 0.716 0.000 x4
4 Pt 0.125 0.283 0.500 x4
5 Pb 0.011 0.851 0.500 x4
6 Pb 0.163 0.551 0.500 x4

---

Na3I3N2: simulated X-ray powder pattern (CuKα), based on a PBE-relaxed structure.

Most intense lines, 2θ from 15° to 90°, low angle first:
Position (°2θ)  Rel. int.  (hkl)
15.18  80  0 4 0
19.76  49  0 4 2
20.03  100  1 1 0
20.40  73  0 2 3
22.85  52  0 6 0
27.48  41  1 5 0
27.68  60  1 1 3
29.77  99  1 3 3

Cell lengths 4.516, 23.347, 14.074 Å; angles 90.00, 90.00, 90.00 degrees
Space group Cmcm (No. 63)
One atom of each set of equivalent atoms:
1 Na 0.000 0.062 0.250 x4
2 Na 0.000 0.406 0.085 x8
3 I 0.000 0.070 0.750 x4
4 I 0.000 0.111 0.057 x8
5 N 0.000 0.252 0.710 x8

---

ZrPaMo: simulated X-ray powder pattern (CuKα), based on a PBE-relaxed structure.

Most intense lines, 2θ from 15° to 90°, low angle first:
Position (°2θ)  Rel. int.  (hkl)
16.71  21  0 0 2
27.19  21  1 0 1
36.39  100  1 0 3
36.86  52  1 1 0
40.72  10  1 1 2
53.12  18  2 0 0
65.17  15  1 1 6
66.10  35  2 1 3

Cell lengths 3.449, 3.449, 10.608 Å; angles 90.00, 90.00, 90.00 degrees
Space group I4mm (No. 107)
One atom of each set of equivalent atoms:
1 Zr 0.000 0.000 0.000 x2
2 Pa 0.000 0.000 0.691 x2
3 Mo 0.000 0.000 0.328 x2

---

La5Tb3In3: simulated X-ray powder pattern (CuKα), based on a PBE-relaxed structure.

Most intense lines, 2θ from 15° to 90°, low angle first:
Position (°2θ)  Rel. int.  (hkl)
26.23  92  5 1 0
28.16  56  3 3 0
29.20  99  0 2 1
33.44  100  2 4 0
34.75  90  5 3 0
35.78  69  5 1 -1
36.49  64  5 1 1
59.62  53  10 2 -1

Cell lengths 17.826, 11.238, 3.647 Å; angles 90.00, 91.15, 90.00 degrees
Space group C2 (No. 5)
One atom of each set of equivalent atoms:
1 La 0.000 0.000 0.000 x2
2 La 0.149 0.450 0.497 x4
3 La 0.196 0.161 0.499 x4
4 Tb 0.000 0.527 0.000 x2
5 Tb 0.094 0.753 0.496 x4
6 In 0.000 0.261 0.500 x2
7 In 0.199 0.907 0.999 x4

---

ZrTl2In: simulated X-ray powder pattern (CuKα), based on a PBE-relaxed structure.

Most intense lines, 2θ from 15° to 90°, low angle first:
Position (°2θ)  Rel. int.  (hkl)
31.09  26  1 1 -1
34.21  37  4 0 0
35.60  100  3 1 -1
36.12  25  0 0 2
36.23  24  4 0 -2
46.89  16  3 1 1
56.13  18  3 1 -3
67.52  26  7 1 -3

Cell lengths 11.888, 3.344, 5.639 Å; angles 90.00, 118.12, 90.00 degrees
Space group Cm (No. 8)
One atom of each set of equivalent atoms:
1 Zr 0.000 0.000 0.000 x2
2 Tl 0.005 0.500 0.478 x2
3 Tl 0.246 0.500 0.058 x2
4 In 0.262 0.000 0.570 x2

---

ScNbSbO6: simulated X-ray powder pattern (CuKα), based on a PBE-relaxed structure.

Most intense lines, 2θ from 15° to 90°, low angle first:
Position (°2θ)  Rel. int.  (hkl)
19.50  53  0 0 2
27.45  100  1 0 2
33.44  56  1 1 0
39.00  57  1 1 2
43.79  27  2 0 2
52.78  61  1 1 4
56.19  25  2 1 2
59.77  26  3 0 0

Cell lengths 5.3595, 5.3595, 9.1026 Å; angles 90.00, 90.00, 120.00 degrees
Space group P-31c (No. 163)
One atom of each set of equivalent atoms:
1 Sc 0.0000 0.0000 0.0000 x2
2 Nb 0.3333 0.6667 0.2500 x2
3 Sb 0.3333 0.6667 0.7500 x2
4 O 0.0087 0.3438 0.1319 x12

---

What did the third record say?
Na3I3N2: simulated X-ray powder pattern (CuKα), based on a PBE-relaxed structure.

Most intense lines, 2θ from 15° to 90°, low angle first:
Position (°2θ)  Rel. int.  (hkl)
15.18  80  0 4 0
19.76  49  0 4 2
20.03  100  1 1 0
20.40  73  0 2 3
22.85  52  0 6 0
27.48  41  1 5 0
27.68  60  1 1 3
29.77  99  1 3 3

Cell lengths 4.516, 23.347, 14.074 Å; angles 90.00, 90.00, 90.00 degrees
Space group Cmcm (No. 63)
One atom of each set of equivalent atoms:
1 Na 0.000 0.062 0.250 x4
2 Na 0.000 0.406 0.085 x8
3 I 0.000 0.070 0.750 x4
4 I 0.000 0.111 0.057 x8
5 N 0.000 0.252 0.710 x8

---

Copy entry 6 word for word.
ZrTl2In: simulated X-ray powder pattern (CuKα), based on a PBE-relaxed structure.

Most intense lines, 2θ from 15° to 90°, low angle first:
Position (°2θ)  Rel. int.  (hkl)
31.09  26  1 1 -1
34.21  37  4 0 0
35.60  100  3 1 -1
36.12  25  0 0 2
36.23  24  4 0 -2
46.89  16  3 1 1
56.13  18  3 1 -3
67.52  26  7 1 -3

Cell lengths 11.888, 3.344, 5.639 Å; angles 90.00, 118.12, 90.00 degrees
Space group Cm (No. 8)
One atom of each set of equivalent atoms:
1 Zr 0.000 0.000 0.000 x2
2 Tl 0.005 0.500 0.478 x2
3 Tl 0.246 0.500 0.058 x2
4 In 0.262 0.000 0.570 x2